For TaSiHgO, a GGA-PBE-relaxed structure gives the theoretical X-ray diffraction stick pattern in this record (Cu Kα (weighted mean of Kα1 and Kα2)).

Top 10 peaks for 2θ = 15–90°, by angle:
4.711 Å, 2θ = 18.8°, I 100
2.553 Å, 2θ = 35.2°, I 84
2.445 Å, 2θ = 36.8°, I 19
2.432 Å, 2θ = 37.0°, I 37
2.356 Å, 2θ = 38.2°, I 19
2.092 Å, 2θ = 43.3°, I 47
1.918 Å, 2θ = 47.4°, I 13
1.908 Å, 2θ = 47.7°, I 24
1.500 Å, 2θ = 61.8°, I 13
1.263 Å, 2θ = 75.3°, I 11

Structure:
```
TaSiHgO
1.0
2.602 -1.495 0.000
2.602 1.495 0.000
-1.773 0.000 9.422
Ta Si Hg O
1 1 1 1
Cartesian
0.000 0.000 0.000
1.698 0.000 7.315
1.704 0.000 4.427
1.726 0.000 1.167
```